1.
This entry pairs a crystal structure of Li12VCr3P4C4O28 with its calculated powder diffraction line list. Radiation: a wavelength of 1.5418 Å. Structure: a GGA+U-relaxed structure.

Main lines, sorted by position (10° ≤ 2θ ≤ 80°):
10.3 deg, I 79
19.9 deg, I 35
21.3 deg, I 44
25.4 deg, I 26
26.3 deg, I 33
27.5 deg, I 100
31.3 deg, I 17
36.0 deg, I 19
36.7 deg, I 27
40.1 deg, I 21

```
Li12VCr3P4C4O28
1.0
8.6001 0.0000 0.0000
0.0000 6.4883 0.0000
-0.7931 0.0000 9.9790
Li V Cr P C O
12 1 3 4 4 28
Direct
0.0000 0.0000 0.0000
0.0019 0.0000 0.4992
0.1841 0.5000 0.2407
0.1858 0.5000 0.7405
0.3664 0.2768 0.9956
0.3657 0.2783 0.4968
0.3657 0.7217 0.4968
0.3664 0.7232 0.9956
0.8168 0.2252 0.7436
0.8168 0.7748 0.7436
0.8178 0.2246 0.2434
0.8178 0.7754 0.2434
0.4214 0.0000 0.7236
0.4264 0.0000 0.2278
0.7558 0.5000 0.0110
0.7565 0.5000 0.5126
0.5017 0.5000 0.7605
0.5027 0.5000 0.2615
0.6785 0.0000 0.9770
0.6804 0.0000 0.4790
0.0604 0.5000 0.4727
0.0605 0.5000 0.9723
0.1233 0.0000 0.2682
0.1269 0.0000 0.7694
0.0266 0.5000 0.0960
0.0275 0.5000 0.5961
0.1586 0.0000 0.1453
0.1665 0.0000 0.6471
0.2034 0.5000 0.4401
0.2038 0.5000 0.9407
0.2340 0.0000 0.3648
0.2379 0.0000 0.8655
0.4014 0.3157 0.7048
0.4014 0.6843 0.7048
0.4035 0.3130 0.2061
0.4035 0.6870 0.2061
0.5123 0.5000 0.4171
0.5130 0.0000 0.0256
0.5130 0.5000 0.9164
0.5147 0.0000 0.5285
0.6641 0.0000 0.8204
0.6685 0.0000 0.3235
0.6699 0.5000 0.2144
0.6695 0.5000 0.7139
0.7796 0.1864 0.0314
0.7796 0.8136 0.0314
0.7807 0.1870 0.5334
0.7807 0.8130 0.5334
0.9463 0.5000 0.3779
0.9471 0.5000 0.8772
0.9781 0.0000 0.2978
0.9816 0.0000 0.7970
```



2.
This entry pairs a crystal structure of Li2Cr5B3O13 with its calculated powder diffraction line list. Radiation: a wavelength of 1.5418 Å. Structure: a GGA+U-relaxed structure.

Main lines, sorted by position (10° ≤ 2θ ≤ 80°):
22.2 deg, I 42
29.6 deg, I 33
30.5 deg, I 43
31.5 deg, I 30
34.0 deg, I 27
34.5 deg, I 100
34.9 deg, I 48
45.5 deg, I 37
54.8 deg, I 27
59.6 deg, I 39

```
Li2Cr5B3O13
1.0
9.5153 0.0000 0.0000
0.0000 3.1034 0.0000
-4.2824 0.0000 15.2472
Li Cr B O
4 10 6 26
Direct
0.0178 0.2500 0.2382
0.0649 0.2500 0.9492
0.9351 0.7500 0.0508
0.9822 0.7500 0.7618
0.1660 0.2500 0.6226
0.3047 0.7500 0.3131
0.3514 0.7500 0.9854
0.3945 0.7500 0.5455
0.4785 0.2500 0.1831
0.5215 0.7500 0.8169
0.6055 0.2500 0.4545
0.6486 0.2500 0.0146
0.6953 0.2500 0.6869
0.8340 0.7500 0.3774
0.1301 0.2500 0.4216
0.1967 0.7500 0.1190
0.2466 0.2500 0.8127
0.7534 0.7500 0.1873
0.8033 0.2500 0.8810
0.8699 0.7500 0.5784
0.0148 0.7500 0.5840
0.1195 0.7500 0.1799
0.1236 0.2500 0.7450
0.1433 0.7500 0.0278
0.1810 0.2500 0.3475
0.2342 0.2500 0.5043
0.2408 0.2500 0.9022
0.2993 0.7500 0.6421
0.3473 0.7500 0.1465
0.3815 0.2500 0.7970
0.4083 0.2500 0.2871
0.4616 0.7500 0.4303
0.4666 0.2500 0.0535
0.5334 0.7500 0.9465
0.5384 0.2500 0.5697
0.5917 0.7500 0.7129
0.6185 0.7500 0.2030
0.6527 0.2500 0.8535
0.7007 0.2500 0.3579
0.7592 0.7500 0.0978
0.7658 0.7500 0.4957
0.8190 0.7500 0.6525
0.8567 0.2500 0.9722
0.8764 0.7500 0.2550
0.8805 0.2500 0.8201
0.9852 0.2500 0.4160
```



3.
This entry pairs a crystal structure of Li2V5O10 with its calculated powder diffraction line list. Radiation: a wavelength of 1.5418 Å. Structure: a GGA+U-relaxed structure.

Main lines, sorted by position (10° ≤ 2θ ≤ 80°):
11.9 deg, I 55
18.0 deg, I 100
22.6 deg, I 17
27.0 deg, I 18
27.5 deg, I 18
30.3 deg, I 13
36.0 deg, I 14
38.0 deg, I 42
44.7 deg, I 29
45.3 deg, I 28

```
Li2V5O10
1.0
5.1387 0.0000 0.0000
1.2249 5.0372 0.0000
1.6695 1.5103 7.4366
Li V O
2 5 10
Direct
0.0000 0.0000 0.0000
0.0879 0.5782 0.7989
0.0415 0.7902 0.4046
0.4997 0.1010 0.2941
0.5302 0.9214 0.7155
0.5599 0.6556 0.0864
0.5839 0.4873 0.5043
0.2774 0.9928 0.1836
0.3228 0.7266 0.9121
0.3250 0.8576 0.5308
0.3290 0.4708 0.3333
0.3775 0.2671 0.7160
0.7140 0.3052 0.0902
0.7505 0.1124 0.4547
0.7591 0.7436 0.2657
0.7632 0.8540 0.8966
0.8157 0.6109 0.6236
```



4.
This entry pairs a crystal structure of Y2Mo2O7 with its calculated powder diffraction line list. Radiation: a wavelength of 1.5418 Å. Structure: a GGA+U-relaxed structure.

Main lines, sorted by position (10° ≤ 2θ ≤ 80°):
29.7 deg, I 100
34.3 deg, I 17
34.5 deg, I 9
49.3 deg, I 17
49.5 deg, I 34
58.6 deg, I 27
58.9 deg, I 14
61.6 deg, I 8
72.3 deg, I 5
72.8 deg, I 2

```
Y2Mo2O7
1.0
-3.6944 3.6944 5.1983
3.6944 -3.6944 5.1983
3.6944 3.6944 -5.1983
Y Mo O
4 4 14
Direct
0.0000 0.0000 0.0000
0.5000 0.0000 0.0000
0.5000 0.0000 0.5000
0.5000 0.5000 0.5000
0.0000 0.0000 0.5000
0.0000 0.5000 0.0000
0.0000 0.5000 0.5000
0.5000 0.5000 0.0000
0.0794 0.8352 0.6803
0.0869 0.8369 0.2500
0.1009 0.4206 0.2558
0.3352 0.1549 0.7558
0.3369 0.5869 0.7500
0.3451 0.6009 0.1803
0.3750 0.1250 0.2500
0.6250 0.8750 0.7500
0.6549 0.3991 0.8197
0.6631 0.4131 0.2500
0.6648 0.8451 0.2442
0.8991 0.5794 0.7442
0.9131 0.1631 0.7500
0.9206 0.1648 0.3197
```



5.
This entry pairs a crystal structure of MgZn2Mo2O8 with its calculated powder diffraction line list. Radiation: a wavelength of 1.5418 Å. Structure: a GGA+U-relaxed structure.

Main lines, sorted by position (10° ≤ 2θ ≤ 80°):
12.5 deg, I 51
22.3 deg, I 49
22.5 deg, I 31
26.5 deg, I 100
31.6 deg, I 64
34.6 deg, I 23
38.7 deg, I 70
47.5 deg, I 28
54.4 deg, I 26
54.7 deg, I 25

```
MgZn2Mo2O8
1.0
4.8936 0.0000 0.0000
0.0000 7.0592 0.0000
-1.0440 0.0000 4.8397
Mg Zn Mo O
1 2 2 8
Direct
0.0000 0.0000 0.0000
0.0000 0.5942 0.0000
0.5000 0.3102 0.0000
0.0000 0.2680 0.5000
0.5000 0.9465 0.5000
0.2034 0.4619 0.7655
0.2477 0.0292 0.7194
0.2654 0.1818 0.2602
0.2661 0.7960 0.2482
0.7339 0.7960 0.7518
0.7346 0.1818 0.7398
0.7523 0.0292 0.2806
0.7966 0.4619 0.2345
```



6.
This entry pairs a crystal structure of MgNi2Bi2O6 with its calculated powder diffraction line list. Radiation: a wavelength of 1.5418 Å. Structure: a GGA+U-relaxed structure.

Main lines, sorted by position (10° ≤ 2θ ≤ 80°):
15.8 deg, I 41
17.8 deg, I 38
20.1 deg, I 40
22.3 deg, I 100
30.5 deg, I 89
31.3 deg, I 73
31.6 deg, I 76
31.7 deg, I 63
32.1 deg, I 69
41.5 deg, I 39

```
MgNi2Bi2O6
1.0
5.5782 0.0000 0.0000
2.7445 5.0236 0.0000
2.5327 0.7383 5.6186
Mg Ni Bi O
1 2 2 6
Direct
0.0000 0.0000 0.0000
0.3202 0.4914 0.8280
0.7278 0.9331 0.5856
0.1951 0.2997 0.3864
0.6337 0.6367 0.1112
0.0569 0.2946 0.0607
0.4400 0.7870 0.8142
0.4897 0.3235 0.5333
0.5621 0.2813 0.0699
0.9359 0.8068 0.8155
0.9847 0.7253 0.3066
```



7.
This entry pairs a crystal structure of AlCo4Cu3O12 with its calculated powder diffraction line list. Radiation: a wavelength of 1.5418 Å. Structure: a GGA+U-relaxed structure.

Main lines, sorted by position (10° ≤ 2θ ≤ 80°):
17.6 deg, I 3
30.8 deg, I 9
35.7 deg, I 100
40.0 deg, I 5
47.8 deg, I 3
51.3 deg, I 27
54.7 deg, I 2
64.1 deg, I 49
75.5 deg, I 12
78.3 deg, I 2

```
AlCo4Cu3O12
1.0
-3.5602 3.5602 3.5602
3.5602 -3.5602 3.5602
3.5602 3.5602 -3.5602
Al Co Cu O
1 4 3 12
Direct
0.0000 0.0000 0.0000
0.0000 0.0000 0.5000
0.0000 0.5000 0.0000
0.5000 0.0000 0.0000
0.5000 0.5000 0.5000
0.0000 0.5000 0.5000
0.5000 0.0000 0.5000
0.5000 0.5000 0.0000
0.1273 0.8352 0.2921
0.1648 0.2921 0.4569
0.1648 0.7079 0.8727
0.2921 0.1273 0.8352
0.2921 0.4569 0.1648
0.4569 0.1648 0.2921
0.5431 0.8352 0.7079
0.7079 0.5431 0.8352
0.7079 0.8727 0.1648
0.8352 0.2921 0.1273
0.8352 0.7079 0.5431
0.8727 0.1648 0.7079
```